Starting from a crystal structure in Alexandria, relaxed with GGA-PBE, the powder diffraction line list of Na2NbReO6 was simulated for CuKα.
No peak broadening, texture or thermal motion is included.

Largest 12 diffraction maxima, sorted by position, 2θ = 10–90°:
2theta, I/Imax, index
15.87, 16, 1 0 0
22.52, 100, 1 1 0
27.70, 9, 1 0 1
32.07, 100, 2 0 0
39.54, 8, 2 0 1
45.98, 37, 2 2 0
51.79, 41, 3 1 0
57.16, 40, 3 1 1
67.06, 22, 4 0 0
71.72, 18, 3 3 0
76.23, 11, 4 2 0
85.15, 7, 4 0 2

Structural model:
```
Na2NbReO6
1.0
5.586 0.000 0.000
0.000 5.586 0.000
0.000 0.000 3.942
Na Nb Re O
2 1 1 6
direct
0.000 0.500 0.000
0.500 0.000 0.000
0.000 0.000 0.500
0.500 0.500 0.500
0.000 0.000 0.000
0.255 0.255 0.500
0.255 0.745 0.500
0.500 0.500 0.000
0.745 0.255 0.500
0.745 0.745 0.500
```